Diffraction record for Bi17W3O33. The X-ray diffraction stick pattern is calculated, not measured: it uses a structure optimized by DFT (GGA+U) and copper Kα.
Peak positions follow from Bragg's law for the DFT cell and can differ from measured ones.

Main lines, most intense first (2θ from 5° to 70°):
2θ = 26.7°, rel. 100, (2 1 0)
2θ = 27.6°, rel. 97, (0 3 -2)
2θ = 28.0°, rel. 94, (1 0 -3)
2θ = 28.9°, rel. 87, (-3 2 1)
2θ = 32.0°, rel. 52, (3 1 -3)
2θ = 31.9°, rel. 51, (2 -2 2)
2θ = 32.6°, rel. 50, (-1 3 1)
2θ = 44.6°, rel. 30, (2 4 -2)

Crystal structure
abc: 10.2513 10.3112 10.3854
angles: 109.16 114.12 102.72
Atoms (fractional coordinates):
Bi 0.0000 0.0000 0.0000
Bi 0.0013 0.9239 0.3407
Bi 0.0922 0.8090 0.6993
Bi 0.1653 0.6294 0.3770
Bi 0.2281 0.5216 0.7580
Bi 0.2777 0.4081 0.0955
Bi 0.3471 0.3087 0.4564
Bi 0.3889 0.2184 0.7877
Bi 0.4159 0.1171 0.1228
Bi 0.4469 0.9964 0.4714
Bi 0.5001 0.8821 0.7942
Bi 0.5706 0.8122 0.1935
Bi 0.6548 0.6095 0.8794
Bi 0.7027 0.5138 0.2384
Bi 0.7539 0.3961 0.5571
Bi 0.8023 0.2810 0.9535
Bi 0.9516 0.1090 0.6357
W 0.0903 0.6988 0.0285
W 0.5834 0.6932 0.5029
W 0.8772 0.2142 0.2760
O 0.0160 0.3331 0.4996
O 0.0197 0.9917 0.7748
O 0.0339 0.1385 0.2553
O 0.0431 0.7684 0.4547
O 0.1749 0.8996 0.0212
O 0.1879 0.3114 0.8247
O 0.1987 0.8171 0.2731
O 0.2334 0.1971 0.1315
O 0.2495 0.6645 0.6283
O 0.2724 0.6701 0.0503
O 0.2941 0.1028 0.5127
O 0.3211 0.9875 0.8188
O 0.3863 0.4263 0.7200
O 0.3876 0.5113 0.3923
O 0.4294 0.7993 0.5239
O 0.4556 0.3245 0.0864
O 0.4902 0.7313 0.9391
O 0.4943 0.2018 0.3796
O 0.5171 0.6093 0.2462
O 0.5552 0.1018 0.7392
O 0.6107 0.4196 0.6606
O 0.6411 0.7396 0.7272
O 0.6540 0.3977 0.9732
O 0.7009 0.8679 0.5158
O 0.7143 0.2816 0.2844
O 0.7182 0.5739 0.4919
O 0.7457 0.1082 0.0334
O 0.7472 0.7289 0.1971
O 0.7831 0.0357 0.2819
O 0.9300 0.7848 0.0301
O 0.9474 0.3840 0.2308
O 0.9842 0.5969 0.8013
O 0.9941 0.5349 0.0458